[1]
This entry pairs a crystal structure of Rb2Te2PbO6 with its calculated X-ray diffraction stick pattern. Radiation: a wavelength of 1.5418 Å. Structure: a crystal structure in Alexandria, relaxed with PBE.

Principal peaks in the range 5° ≤ 2θ ≤ 70°, by angle:
2theta	d [Å]	I (rel.)
18.3	4.842	16
19.2	4.632	10
26.6	3.352	100
27.3	3.269	35
30.0	2.982	62
38.5	2.338	28
44.8	2.025	13
47.8	1.903	13
49.9	1.827	15
51.1	1.787	15
51.3	1.782	13
62.3	1.491	10

Atomic structure:
a = 5.999 Å, b = 5.999 Å, c = 7.815 Å
α = 109.10°, β = 109.10°, γ = 66.03°
Atoms (fractional coordinates):
Rb 0.198 0.198 0.136
Rb 0.802 0.802 0.864
Te 0.412 0.412 0.754
Te 0.588 0.588 0.246
Pb 0.000 0.000 0.500
O 0.240 0.697 0.240
O 0.265 0.265 0.517
O 0.303 0.760 0.760
O 0.697 0.240 0.240
O 0.735 0.735 0.483
O 0.760 0.303 0.760

***

[2]
This entry pairs a crystal structure of CeTl with its calculated X-ray diffraction stick pattern. Radiation: a wavelength of 1.5418 Å. Structure: a crystal structure in Alexandria, relaxed with PBE.

Principal peaks in the range 5° ≤ 2θ ≤ 70°, by angle:
2theta	d [Å]	I (rel.)
18.8	4.710	3
25.7	3.472	3
32.0	2.794	100
36.6	2.455	35
38.2	2.355	16
41.5	2.177	2
46.6	1.949	1
52.7	1.736	12
54.0	1.699	23
63.0	1.474	29
65.2	1.430	13
67.0	1.397	12

Atomic structure:
a = 3.472 Å, b = 3.472 Å, c = 4.710 Å
α = 90.00°, β = 90.00°, γ = 90.00°
Atoms (fractional coordinates):
Ce 0.000 0.000 0.000
Tl 0.500 0.500 0.500

***

[3]
This entry pairs a crystal structure of Cs2HfCoI6 with its calculated X-ray diffraction stick pattern. Radiation: a wavelength of 1.5418 Å. Structure: a crystal structure in Alexandria, relaxed with PBE.

Principal peaks in the range 5° ≤ 2θ ≤ 70°, by angle:
2theta	d [Å]	I (rel.)
13.3	6.671	6
15.3	5.777	18
21.8	4.085	19
25.6	3.484	6
26.7	3.335	75
31.0	2.889	100
34.7	2.584	10
38.2	2.359	9
44.3	2.043	73
52.5	1.742	34
55.1	1.668	26
64.5	1.444	12

Atomic structure:
a = 8.169 Å, b = 8.169 Å, c = 8.169 Å
α = 119.98°, β = 119.98°, γ = 90.04°
Atoms (fractional coordinates):
Cs 0.250 0.750 0.500
Cs 0.750 0.250 0.500
Hf 0.000 0.000 0.000
Co 0.500 0.500 0.000
I 0.252 0.252 0.000
I 0.252 0.252 0.504
I 0.252 0.748 0.000
I 0.748 0.252 0.000
I 0.748 0.748 0.000
I 0.748 0.748 0.496

***

[4]
This entry pairs a crystal structure of HoOs2O8 with its calculated X-ray diffraction stick pattern. Radiation: a wavelength of 1.5418 Å. Structure: a crystal structure in Alexandria, relaxed with PBE.

Principal peaks in the range 5° ≤ 2θ ≤ 70°, by angle:
2theta	d [Å]	I (rel.)
22.0	4.049	100
29.1	3.066	44
33.2	2.695	23
36.8	2.444	15
44.8	2.024	15
47.6	1.911	25
51.6	1.770	9
53.1	1.724	13
54.3	1.689	12
60.4	1.533	8
65.1	1.434	10
69.7	1.350	6

Atomic structure:
a = 6.132 Å, b = 6.132 Å, c = 6.256 Å
α = 90.00°, β = 90.00°, γ = 120.00°
Atoms (fractional coordinates):
Ho 0.000 0.000 0.000
Os 0.333 0.667 0.298
Os 0.667 0.333 0.702
O 0.176 0.352 0.195
O 0.176 0.824 0.195
O 0.333 0.667 0.576
O 0.352 0.176 0.805
O 0.648 0.824 0.195
O 0.667 0.333 0.424
O 0.824 0.176 0.805
O 0.824 0.648 0.805

***

[5]
This entry pairs a crystal structure of PmTlPd5 with its calculated X-ray diffraction stick pattern. Radiation: a wavelength of 1.5418 Å. Structure: a crystal structure in Alexandria, relaxed with PBE.

Principal peaks in the range 5° ≤ 2θ ≤ 70°, by angle:
2theta	d [Å]	I (rel.)
16.9	5.243	46
17.5	5.069	57
24.0	3.706	92
25.7	3.473	64
29.9	2.992	100
30.9	2.895	43
35.4	2.535	37
38.4	2.345	92
40.8	2.210	38
43.2	2.092	82
46.8	1.943	85
47.9	1.898	37

Atomic structure:
a = 6.288 Å, b = 6.288 Å, c = 6.288 Å
α = 112.96°, β = 107.78°, γ = 107.73°
Atoms (fractional coordinates):
Pm 0.000 0.000 0.000
Tl 0.376 0.876 0.500
Pd 0.368 0.368 0.000
Pd 0.553 0.235 0.318
Pd 0.674 0.486 0.812
Pd 0.674 0.862 0.188
Pd 0.918 0.235 0.682

***

[6]
This entry pairs a crystal structure of Rb2Te2O5 with its calculated X-ray diffraction stick pattern. Radiation: a wavelength of 1.5418 Å. Structure: a crystal structure in Alexandria, relaxed with PBE.

Principal peaks in the range 5° ≤ 2θ ≤ 70°, by angle:
2theta	d [Å]	I (rel.)
14.1	6.271	40
22.7	3.911	16
27.3	3.273	100
27.5	3.245	32
28.5	3.136	18
29.3	3.051	18
29.4	3.035	60
39.3	2.292	18
42.0	2.151	24
43.3	2.090	16
46.1	1.970	17
46.6	1.949	14

Atomic structure:
a = 7.205 Å, b = 7.205 Å, c = 6.643 Å
α = 108.35°, β = 108.35°, γ = 34.75°
Atoms (fractional coordinates):
Rb 0.085 0.085 0.371
Rb 0.915 0.915 0.629
Te 0.352 0.352 0.023
Te 0.648 0.648 0.977
O 0.174 0.174 0.004
O 0.398 0.398 0.318
O 0.500 0.500 0.000
O 0.602 0.602 0.682
O 0.826 0.826 0.996

***

[7]
This entry pairs a crystal structure of PmNi2Sn4 with its calculated X-ray diffraction stick pattern. Radiation: a wavelength of 1.5418 Å. Structure: a crystal structure in Alexandria, relaxed with PBE.

Principal peaks in the range 5° ≤ 2θ ≤ 70°, by angle:
2theta	d [Å]	I (rel.)
30.4	2.937	8
33.6	2.664	100
34.9	2.568	16
35.3	2.545	28
40.2	2.241	13
41.4	2.183	28
43.3	2.089	15
49.5	1.841	7
50.8	1.797	7
55.5	1.657	14
59.1	1.564	8
62.2	1.491	20

Atomic structure:
a = 19.057 Å, b = 4.366 Å, c = 7.183 Å
α = 90.00°, β = 90.00°, γ = 90.00°
Atoms (fractional coordinates):
Pm 0.140 0.250 0.029
Pm 0.360 0.750 0.529
Pm 0.640 0.250 0.471
Pm 0.860 0.750 0.971
Ni 0.037 0.750 0.751
Ni 0.210 0.250 0.495
Ni 0.290 0.750 0.995
Ni 0.463 0.250 0.251
Ni 0.537 0.750 0.749
Ni 0.710 0.250 0.005
Ni 0.790 0.750 0.505
Ni 0.963 0.250 0.249
Sn 0.026 0.750 0.137
Sn 0.068 0.250 0.507
Sn 0.177 0.750 0.713
Sn 0.205 0.750 0.295
Sn 0.295 0.250 0.795
Sn 0.323 0.250 0.213
Sn 0.432 0.750 0.007
Sn 0.474 0.250 0.637
Sn 0.526 0.750 0.363
Sn 0.568 0.250 0.993
Sn 0.677 0.750 0.787
Sn 0.705 0.750 0.205
Sn 0.795 0.250 0.705
Sn 0.823 0.250 0.287
Sn 0.932 0.750 0.493
Sn 0.974 0.250 0.863

***

[8]
This entry pairs a crystal structure of Na3Sb2Au3 with its calculated X-ray diffraction stick pattern. Radiation: a wavelength of 1.5418 Å. Structure: a crystal structure in Alexandria, relaxed with PBE.

Principal peaks in the range 5° ≤ 2θ ≤ 70°, by angle:
2theta	d [Å]	I (rel.)
10.8	8.224	78
18.1	4.914	100
18.8	4.708	49
22.1	4.016	69
29.6	3.018	58
32.0	2.799	39
33.4	2.686	40
33.9	2.647	56
36.0	2.493	41
38.9	2.314	59
42.7	2.120	53
43.6	2.078	61

Atomic structure:
a = 8.884 Å, b = 16.447 Å, c = 5.899 Å
α = 90.00°, β = 90.00°, γ = 90.00°
Atoms (fractional coordinates):
Na 0.052 0.105 0.097
Na 0.052 0.395 0.097
Na 0.198 0.250 0.573
Na 0.302 0.750 0.073
Na 0.448 0.605 0.597
Na 0.448 0.895 0.597
Na 0.552 0.105 0.403
Na 0.552 0.395 0.403
Na 0.698 0.250 0.927
Na 0.802 0.750 0.427
Na 0.948 0.605 0.903
Na 0.948 0.895 0.903
Sb 0.092 0.600 0.419
Sb 0.092 0.900 0.419
Sb 0.408 0.100 0.919
Sb 0.408 0.400 0.919
Sb 0.592 0.600 0.081
Sb 0.592 0.900 0.081
Sb 0.908 0.100 0.581
Sb 0.908 0.400 0.581
Au 0.163 0.750 0.558
Au 0.199 0.033 0.648
Au 0.199 0.467 0.648
Au 0.301 0.533 0.148
Au 0.301 0.967 0.148
Au 0.337 0.250 0.058
Au 0.663 0.750 0.942
Au 0.699 0.033 0.852
Au 0.699 0.467 0.852
Au 0.801 0.533 0.352
Au 0.801 0.967 0.352
Au 0.837 0.250 0.442